Co4B6O13: calculated powder diffractogram (a wavelength of 1.5418 Å), based on a structure optimized by DFT (PBE+U).
Lines closer than 0.1° are merged.

Crystal structure
Cell: 6.471 6.471 6.471 Å, 109.47 109.47 109.47°
Sites, in units of the cell vectors:
Co 0.000 0.000 0.306
Co 0.000 0.306 0.000
Co 0.306 0.000 0.000
Co 0.694 0.694 0.694
B 0.250 0.500 0.750
B 0.250 0.750 0.500
B 0.500 0.250 0.750
B 0.500 0.750 0.250
B 0.750 0.250 0.500
B 0.750 0.500 0.250
O 0.000 0.000 0.000
O 0.000 0.275 0.557
O 0.000 0.557 0.275
O 0.275 0.000 0.557
O 0.275 0.557 0.000
O 0.282 0.725 0.725
O 0.443 0.443 0.718
O 0.443 0.718 0.443
O 0.557 0.000 0.275
O 0.557 0.275 0.000
O 0.718 0.443 0.443
O 0.725 0.282 0.725
O 0.725 0.725 0.282

Most intense lines, 2θ = 10–90°, low angle first:
2θ (°), d_spacing, I_rel
29.28, 3.050, 100.0
38.09, 2.363, 23.2
45.42, 1.997, 19.7
48.75, 1.868, 13.7
51.92, 1.761, 37.1
68.82, 1.364, 12.4
71.42, 1.321, 9.0
73.97, 1.281, 8.1